Simulated X-ray powder pattern of Mg3N2 for Cu Kα, from a crystal structure in Alexandria, relaxed with GGA-PBE.
Lines closer than 0.1° are merged.

Top 6 peaks for 10° ≤ 2θ ≤ 80°, in order of rising 2θ:
2θ 30.91, rel. 33, hkl 2 2 2; 2θ 33.45, rel. 59, hkl 3 1 2; 2θ 35.84, rel. 44, hkl 4 0 0; 2θ 42.30, rel. 54, hkl 3 3 2; 2θ 51.59, rel. 100, hkl 4 4 0; 2θ 68.84, rel. 32, hkl 7 1 2

Crystal structure
```
data_Mg3N2
_chemical_formula_sum 'Mg48 N32'
_cell_length_a 10.022
_cell_length_b 10.022
_cell_length_c 10.022
_cell_angle_alpha 90.00
_cell_angle_beta 90.00
_cell_angle_gamma 90.00
_symmetry_space_group_name_H-M 'I a -3'
_symmetry_Int_Tables_number 206
_symmetry_space_group_name_Hall '-I 2b 2c 3'
loop_
_atom_site_label
_atom_site_fract_x
_atom_site_fract_y
_atom_site_fract_z
Mg1 0.097 0.139 0.632
N1 0.000 0.000 0.000
N2 0.000 0.250 0.281
```


Simulated X-ray powder pattern of Mg4Nb3N8 for Cu Kα, from a crystal structure in Alexandria, relaxed with GGA-PBE.
Lines closer than 0.1° are merged.

Top 6 peaks for 10° ≤ 2θ ≤ 80°, in order of rising 2θ:
2θ 16.11, rel. 100, hkl 0 0 3; 2θ 33.92, rel. 63, hkl 0 2 1; 2θ 35.24, rel. 28, hkl 2 0 2; 2θ 40.14, rel. 64, hkl 0 2 4; 2θ 51.65, rel. 28, hkl 0 2 7; 2θ 59.82, rel. 28, hkl 2 2 0

Crystal structure
```
data_Mg4Nb3N8
_chemical_formula_sum 'Mg12 Nb9 N24'
_cell_length_a 6.1840
_cell_length_b 6.1840
_cell_length_c 16.5063
_cell_angle_alpha 90.00
_cell_angle_beta 90.00
_cell_angle_gamma 120.00
_symmetry_space_group_name_H-M 'R -3 m'
_symmetry_Int_Tables_number 166
_symmetry_space_group_name_Hall '-R 3 2"'
loop_
_atom_site_label
_atom_site_fract_x
_atom_site_fract_y
_atom_site_fract_z
Mg1 0.0000 0.0000 0.0000
Mg2 0.0000 0.0000 0.1482
Mg3 0.0000 0.0000 0.5000
Nb1 0.0000 0.5000 0.0000
N1 0.0000 0.0000 0.2677
N2 0.0091 0.5046 0.2599
```